# Tb12PrNd2
Calculated XRD peak list, Cu Kα. Input: a structure optimized by DFT (GGA-PBE).
No peak broadening, texture or thermal motion is included.

Main lines, in order of rising 2θ (5° ≤ 2θ ≤ 70°):
2θ 20.7, intensity 38; 2θ 28.6, intensity 74; 2θ 29.7, intensity 59; 2θ 31.2, intensity 90; 2θ 31.7, intensity 100; 2θ 32.0, intensity 54; 2θ 32.8, intensity 87; 2θ 37.8, intensity 59; 2θ 39.5, intensity 52; 2θ 47.9, intensity 23; 2θ 55.7, intensity 52; 2θ 66.8, intensity 30

Structure:
abc: 6.454 6.454 25.188
angles: 90.00 90.00 90.00
Space group P4/nbm (No. 125, origin choice 2)
Asymmetric unit:
Tb 0.065 0.565 0.117 [8 per cell]
Tb 0.082 0.582 0.439 [8 per cell]
Tb 0.250 0.250 0.217 [4 per cell]
Tb 0.250 0.250 0.340 [4 per cell]
Pr 0.250 0.750 0.000 [2 per cell]
Nd 0.250 0.750 0.272 [4 per cell]